1.
This entry pairs a crystal structure of Ce2HgRuAu with its theoretical powder diffraction line list. Radiation: a wavelength of 1.5418 Å. Structure: DFT lattice parameters and positions (GGA-PBE).
Intensities are scaled so that the largest is 100.

Principal peaks in the range 15 to 90 degrees two-theta, by angle:
(hkl)  Position (°2θ)  I/Imax
1 1 1  28.19  40
0 1 2  31.17  72
2 1 0  32.49  27
2 1 -2  34.22  100
0 2 0  35.24  79
2 1 1  38.93  77

Cell and atoms:
```
data_Ce2HgRuAu
_space_group_name_H-M_alt 'P 1 21/m 1'
_space_group_IT_number 11
_cell_length_a 7.125
_cell_length_b 5.093
_cell_length_c 7.553
_cell_angle_alpha 90.00
_cell_angle_beta 113.11
_cell_angle_gamma 90.00
loop_
_space_group_symop_operation_xyz
'x,y,z'
'-x,-y,-z'
'-x,y+1/2,-z'
'x,-y+1/2,z'
loop_
_atom_site_label
_atom_site_type_symbol
_atom_site_fract_x
_atom_site_fract_y
_atom_site_fract_z
Ce1 Ce 0.189 0.250 0.358
Ce2 Ce 0.271 0.250 0.924
Hg1 Hg 0.304 0.750 0.649
Ru1 Ru 0.034 0.750 0.042
Au1 Au 0.436 0.750 0.268
```



2.
This entry pairs a crystal structure of Tl3Cd2Ga9 with its theoretical powder diffraction line list. Radiation: a wavelength of 1.5418 Å. Structure: DFT lattice parameters and positions (GGA-PBE).
Intensities are scaled so that the largest is 100.

Principal peaks in the range 15 to 90 degrees two-theta, by angle:
(hkl)  Position (°2θ)  I/Imax
0 3 3  31.91  26
1 3 0  32.72  20
1 2 3  33.02  100
1 3 2  35.26  18
0 0 6  39.01  23
2 0 0  41.71  25

Cell and atoms:
```
data_Tl3Cd2Ga9
_space_group_name_H-M_alt 'I m m m'
_space_group_IT_number 71
_space_group_name_Hall '-I 2 2'
_cell_length_a 4.331
_cell_length_b 10.592
_cell_length_c 13.853
_cell_angle_alpha 90.00
_cell_angle_beta 90.00
_cell_angle_gamma 90.00
loop_
_atom_site_label
_atom_site_type_symbol
_atom_site_fract_x
_atom_site_fract_y
_atom_site_fract_z
Tl1 Tl 0.000 0.000 0.000
Tl2 Tl 0.000 0.000 0.309
Cd1 Cd 0.000 0.200 0.500
Ga1 Ga 0.000 0.276 0.153
Ga2 Ga 0.000 0.375 0.335
Ga3 Ga 0.000 0.500 0.000
```



3.
This entry pairs a crystal structure of Rb2YGaCl6 with its theoretical powder diffraction line list. Radiation: a wavelength of 1.5418 Å. Structure: DFT lattice parameters and positions (GGA-PBE).
Intensities are scaled so that the largest is 100.

Principal peaks in the range 15 to 90 degrees two-theta, by angle:
(hkl)  Position (°2θ)  I/Imax
1 0 -1  22.52  71
2 1 1  23.16  80
2 0 2  32.52  100
-2 1 1  39.53  38
1 3 0  39.92  47
2 2 4  47.33  31

Cell and atoms:
```
data_Rb2YGaCl6
_space_group_name_H-M_alt 'P 1'
_space_group_IT_number 1
_cell_length_a 7.681
_cell_length_b 7.691
_cell_length_c 7.692
_cell_angle_alpha 61.81
_cell_angle_beta 61.80
_cell_angle_gamma 61.82
loop_
_space_group_symop_operation_xyz
'x,y,z'
loop_
_atom_site_label
_atom_site_type_symbol
_atom_site_fract_x
_atom_site_fract_y
_atom_site_fract_z
Rb1 Rb 0.000 0.000 0.000
Rb2 Rb 0.482 0.479 0.480
Y1 Y 0.241 0.239 0.240
Ga1 Ga 0.740 0.739 0.740
Cl1 Cl 0.017 0.395 0.553
Cl2 Cl 0.086 0.925 0.461
Cl3 Cl 0.395 0.553 0.019
Cl4 Cl 0.464 0.083 0.927
Cl5 Cl 0.553 0.019 0.396
Cl6 Cl 0.928 0.459 0.083
```



4.
This entry pairs a crystal structure of NaGe2F11 with its theoretical powder diffraction line list. Radiation: a wavelength of 1.5418 Å. Structure: DFT lattice parameters and positions (GGA-PBE).
Intensities are scaled so that the largest is 100.

Principal peaks in the range 15 to 90 degrees two-theta, by angle:
(hkl)  Position (°2θ)  I/Imax
2 0 0  17.04  100
0 2 0  17.92  65
0 0 2  20.08  54
2 2 0  24.82  62
2 0 2  26.45  39
0 2 2  27.04  50

Cell and atoms:
```
data_NaGe2F11
_space_group_name_H-M_alt 'I m a 2'
_space_group_IT_number 46
_cell_length_a 10.408
_cell_length_b 9.902
_cell_length_c 8.843
_cell_angle_alpha 90.00
_cell_angle_beta 90.00
_cell_angle_gamma 90.00
loop_
_space_group_symop_operation_xyz
'x,y,z'
'-x,-y,z'
'-x+1/2,y,z'
'x+1/2,-y,z'
'x+1/2,y+1/2,z+1/2'
'-x+1/2,-y+1/2,z+1/2'
'-x,y+1/2,z+1/2'
'x,-y+1/2,z+1/2'
loop_
_atom_site_label
_atom_site_type_symbol
_atom_site_fract_x
_atom_site_fract_y
_atom_site_fract_z
Na1 Na 0.000 0.000 0.000
Ge1 Ge 0.250 0.234 0.706
Ge2 Ge 0.250 0.747 0.755
F1 F 0.128 0.657 0.652
F2 F 0.128 0.662 0.358
F3 F 0.132 0.138 0.807
F4 F 0.133 0.134 0.189
F5 F 0.250 0.167 0.525
F6 F 0.250 0.601 0.891
F7 F 0.250 0.606 0.120
```



5.
This entry pairs a crystal structure of Ho4Tm19Th6 with its theoretical powder diffraction line list. Radiation: a wavelength of 1.5418 Å. Structure: DFT lattice parameters and positions (GGA-PBE).
Intensities are scaled so that the largest is 100.

Principal peaks in the range 15 to 90 degrees two-theta, by angle:
(hkl)  Position (°2θ)  I/Imax
3 2 1  27.07  76
4 0 0  28.98  66
4 1 1  30.78  100
4 2 2  35.69  61
4 3 1  37.19  99
7 4 1  61.08  33

Cell and atoms:
```
data_Ho4Tm19Th6
_space_group_name_H-M_alt 'I 2 3'
_space_group_IT_number 197
_space_group_name_Hall 'I 2 2 3'
_cell_length_a 12.326
_cell_length_b 12.326
_cell_length_c 12.326
_cell_angle_alpha 90.00
_cell_angle_beta 90.00
_cell_angle_gamma 90.00
loop_
_atom_site_label
_atom_site_type_symbol
_atom_site_fract_x
_atom_site_fract_y
_atom_site_fract_z
Ho1 Ho 0.178 0.178 0.178
Tm1 Tm 0.000 0.000 0.000
Tm2 Tm 0.000 0.000 0.264
Tm3 Tm 0.066 0.276 0.743
Th1 Th 0.000 0.130 0.500
```



6.
This entry pairs a crystal structure of Zn2BF with its theoretical powder diffraction line list. Radiation: a wavelength of 1.5418 Å. Structure: DFT lattice parameters and positions (GGA-PBE).
Intensities are scaled so that the largest is 100.

Principal peaks in the range 15 to 90 degrees two-theta, by angle:
(hkl)  Position (°2θ)  I/Imax
1 1 2  31.44  100
2 0 0  34.23  24
2 2 0  49.19  17
2 0 4  54.14  27
3 1 2  59.55  27
1 1 6  68.21  10

Cell and atoms:
```
data_Zn2BF
_space_group_name_H-M_alt 'I -4 2 d'
_space_group_IT_number 122
_space_group_name_Hall 'I -4 2bw'
_cell_length_a 5.239
_cell_length_b 5.239
_cell_length_c 8.884
_cell_angle_alpha 90.00
_cell_angle_beta 90.00
_cell_angle_gamma 90.00
loop_
_atom_site_label
_atom_site_type_symbol
_atom_site_fract_x
_atom_site_fract_y
_atom_site_fract_z
Zn1 Zn 0.227 0.250 0.125
B1 B 0.000 0.000 0.000
F1 F 0.000 0.000 0.500
```



7.
This entry pairs a crystal structure of CuNi7Ge4 with its theoretical powder diffraction line list. Radiation: a wavelength of 1.5418 Å. Structure: DFT lattice parameters and positions (GGA-PBE).
Intensities are scaled so that the largest is 100.

Principal peaks in the range 15 to 90 degrees two-theta, by angle:
(hkl)  Position (°2θ)  I/Imax
4 0 -3  38.68  63
0 2 0  41.37  100
2 0 -4  42.54  39
3 1 1  45.29  97
1 1 -4  50.15  47
4 2 -3  57.92  37

Cell and atoms:
```
data_CuNi7Ge4
_space_group_name_H-M_alt 'C 1 2/m 1'
_space_group_IT_number 12
_cell_length_a 10.048
_cell_length_b 4.365
_cell_length_c 8.574
_cell_angle_alpha 90.00
_cell_angle_beta 122.49
_cell_angle_gamma 90.00
loop_
_space_group_symop_operation_xyz
'x,y,z'
'-x,-y,-z'
'-x,y,-z'
'x,-y,z'
'x+1/2,y+1/2,z'
'-x+1/2,-y+1/2,-z'
'-x+1/2,y+1/2,-z'
'x+1/2,-y+1/2,z'
loop_
_atom_site_label
_atom_site_type_symbol
_atom_site_fract_x
_atom_site_fract_y
_atom_site_fract_z
Cu1 Cu 0.000 0.000 0.000
Ni1 Ni 0.000 0.500 0.000
Ni2 Ni 0.079 0.000 0.332
Ni3 Ni 0.137 0.500 0.532
Ni4 Ni 0.206 0.000 0.903
Ge1 Ge 0.087 0.500 0.780
Ge2 Ge 0.236 0.500 0.327
```



8.
This entry pairs a crystal structure of Na7In2 with its theoretical powder diffraction line list. Radiation: a wavelength of 1.5418 Å. Structure: DFT lattice parameters and positions (GGA-PBE).
Intensities are scaled so that the largest is 100.

Principal peaks in the range 15 to 90 degrees two-theta, by angle:
(hkl)  Position (°2θ)  I/Imax
1 0 0  16.89  22
1 0 1  19.70  26
0 0 3  30.54  29
1 1 1  31.22  100
2 -1 2  36.00  72
1 1 4  51.38  22

Cell and atoms:
```
data_Na7In2
_space_group_name_H-M_alt 'P -3 1 m'
_space_group_IT_number 162
_space_group_name_Hall '-P 3 2'
_cell_length_a 6.0624
_cell_length_b 6.0624
_cell_length_c 8.7828
_cell_angle_alpha 90.00
_cell_angle_beta 90.00
_cell_angle_gamma 120.00
loop_
_atom_site_label
_atom_site_type_symbol
_atom_site_fract_x
_atom_site_fract_y
_atom_site_fract_z
Na1 Na 0.0000 0.0000 0.0000
Na2 Na 0.0000 0.3451 0.6795
In1 In 0.3333 0.6667 0.0000
```



9.
This entry pairs a crystal structure of Cs3TlAg2Br6 with its theoretical powder diffraction line list. Radiation: a wavelength of 1.5418 Å. Structure: DFT lattice parameters and positions (GGA-PBE).
Intensities are scaled so that the largest is 100.

Principal peaks in the range 15 to 90 degrees two-theta, by angle:
(hkl)  Position (°2θ)  I/Imax
1 1 0  20.32  89
0 1 2  22.16  60
0 2 1  25.34  39
2 0 2  30.24  100
1 2 2  36.71  36
2 2 0  41.31  57

Cell and atoms:
```
data_Cs3TlAg2Br6
_space_group_name_H-M_alt 'P -3 m 1'
_space_group_IT_number 164
_space_group_name_Hall '-P 3 2"'
_cell_length_a 8.7427
_cell_length_b 8.7427
_cell_length_c 9.4589
_cell_angle_alpha 90.00
_cell_angle_beta 90.00
_cell_angle_gamma 120.00
loop_
_atom_site_label
_atom_site_type_symbol
_atom_site_fract_x
_atom_site_fract_y
_atom_site_fract_z
Cs1 Cs 0.0000 0.0000 0.0000
Cs2 Cs 0.3333 0.6667 0.6332
Tl1 Tl 0.0000 0.0000 0.5000
Ag1 Ag 0.3333 0.6667 0.2398
Br1 Br 0.1640 0.3280 0.2804
```



10.
This entry pairs a crystal structure of TbHo2Tm9 with its theoretical powder diffraction line list. Radiation: a wavelength of 1.5418 Å. Structure: DFT lattice parameters and positions (GGA-PBE).
Intensities are scaled so that the largest is 100.

Principal peaks in the range 15 to 90 degrees two-theta, by angle:
(hkl)  Position (°2θ)  I/Imax
1 1 1  30.51  25
2 0 1  31.95  55
2 2 0  32.44  100
2 1 1  35.95  19
4 2 1  57.56  19
2 2 2  63.51  29

Cell and atoms:
```
data_TbHo2Tm9
_space_group_name_H-M_alt 'P 6/m m m'
_space_group_IT_number 191
_space_group_name_Hall '-P 6 2'
_cell_length_a 11.0394
_cell_length_b 11.0394
_cell_length_c 3.4570
_cell_angle_alpha 90.00
_cell_angle_beta 90.00
_cell_angle_gamma 120.00
loop_
_atom_site_label
_atom_site_type_symbol
_atom_site_fract_x
_atom_site_fract_y
_atom_site_fract_z
Tb1 Tb 0.0000 0.0000 0.0000
Ho1 Ho 0.3333 0.6667 0.0000
Tm1 Tm 0.0000 0.5000 0.0000
Tm2 Tm 0.1772 0.3545 0.5000
```



11.
This entry pairs a crystal structure of LaPm2Cd2Sn2 with its theoretical powder diffraction line list. Radiation: a wavelength of 1.5418 Å. Structure: DFT lattice parameters and positions (GGA-PBE).
Intensities are scaled so that the largest is 100.

Principal peaks in the range 15 to 90 degrees two-theta, by angle:
(hkl)  Position (°2θ)  I/Imax
1 0 7  30.59  100
0 1 8  33.12  23
1 1 0  35.73  89
0 2 7  47.71  36
2 1 7  61.03  28
1 1 15  62.55  22

Cell and atoms:
```
data_LaPm2Cd2Sn2
_space_group_name_H-M_alt 'R -3 m'
_space_group_IT_number 166
_space_group_name_Hall '-R 3 2"'
_cell_length_a 5.0257
_cell_length_b 5.0257
_cell_length_c 27.6129
_cell_angle_alpha 90.00
_cell_angle_beta 90.00
_cell_angle_gamma 120.00
loop_
_atom_site_label
_atom_site_type_symbol
_atom_site_fract_x
_atom_site_fract_y
_atom_site_fract_z
La1 La 0.0000 0.0000 0.0000
Pm1 Pm 0.0000 0.0000 0.1328
Cd1 Cd 0.0000 0.0000 0.4219
Sn1 Sn 0.0000 0.0000 0.2658
```



12.
This entry pairs a crystal structure of AcSmPtCl with its theoretical powder diffraction line list. Radiation: a wavelength of 1.5418 Å. Structure: DFT lattice parameters and positions (GGA-PBE).
Intensities are scaled so that the largest is 100.

Principal peaks in the range 15 to 90 degrees two-theta, by angle:
(hkl)  Position (°2θ)  I/Imax
0 1 2  25.45  42
0 1 5  30.94  100
1 0 7  36.30  23
1 1 0  42.71  44
1 0 10  45.90  30
2 0 5  53.67  22

Cell and atoms:
```
data_AcSmPtCl
_space_group_name_H-M_alt 'R 3 m'
_space_group_IT_number 160
_space_group_name_Hall 'R 3 -2"'
_cell_length_a 4.2338
_cell_length_b 4.2338
_cell_length_c 23.4789
_cell_angle_alpha 90.00
_cell_angle_beta 90.00
_cell_angle_gamma 120.00
loop_
_atom_site_label
_atom_site_type_symbol
_atom_site_fract_x
_atom_site_fract_y
_atom_site_fract_z
Ac1 Ac 0.0000 0.0000 0.0000
Sm1 Sm 0.0000 0.0000 0.1959
Pt1 Pt 0.0000 0.0000 0.5925
Cl1 Cl 0.0000 0.0000 0.7709
```



13.
This entry pairs a crystal structure of La5Ho3P8 with its theoretical powder diffraction line list. Radiation: a wavelength of 1.5418 Å. Structure: DFT lattice parameters and positions (GGA-PBE).
Intensities are scaled so that the largest is 100.

Principal peaks in the range 15 to 90 degrees two-theta, by angle:
(hkl)  Position (°2θ)  I/Imax
0 0 6  26.17  81
0 2 4  30.31  100
2 2 0  43.40  73
0 2 10  51.39  40
4 0 4  53.86  26
2 4 4  71.56  33

Cell and atoms:
```
data_La5Ho3P8
_space_group_name_H-M_alt 'R -3 m'
_space_group_IT_number 166
_space_group_name_Hall '-R 3 2"'
_cell_length_a 8.3406
_cell_length_b 8.3406
_cell_length_c 20.4222
_cell_angle_alpha 90.00
_cell_angle_beta 90.00
_cell_angle_gamma 120.00
loop_
_atom_site_label
_atom_site_type_symbol
_atom_site_fract_x
_atom_site_fract_y
_atom_site_fract_z
La1 La 0.0000 0.0000 0.0000
La2 La 0.0000 0.0000 0.5000
La3 La 0.0000 0.5000 0.0000
Ho1 Ho 0.0000 0.5000 0.5000
P1 P 0.0000 0.0000 0.2452
P2 P 0.0069 0.5034 0.7534
```